[1]
This entry pairs a crystal structure of NaIn15Hg4 with its computed powder X-ray diffraction pattern. Radiation: copper Kα. Structure: a structure optimized by DFT (GGA-PBE).
Neutral-atom scattering factors, no anomalous dispersion.

The 10 most intense peaks (5 to 70 degrees two-theta), in order of rising 2θ:
two_theta  I_rel
7.5  29
18.8  22
32.8  1000
38.1  335
38.2  168
54.9  114
55.0  226
65.5  265
65.7  130
68.8  113

Crystal structure
```
20
Lattice="4.7294 0.0000 0.0000 0.0000 4.7294 0.0000 0.0000 0.0000 23.5662" Properties=species:S:1:pos:R:3 pbc="T T T"
Na 0.0000 0.0000 0.0000
In 0.0000 2.3647 2.3538
In 0.0000 2.3647 7.0383
In 0.0000 2.3647 11.7831
In 0.0000 2.3647 16.5279
In 0.0000 2.3647 21.2124
In 2.3647 0.0000 2.3538
In 2.3647 0.0000 7.0383
In 2.3647 0.0000 11.7831
In 2.3647 0.0000 16.5279
In 2.3647 0.0000 21.2124
In 2.3647 2.3647 0.0000
In 2.3647 2.3647 4.6829
In 2.3647 2.3647 9.4335
In 2.3647 2.3647 14.1326
In 2.3647 2.3647 18.8833
Hg 0.0000 0.0000 4.6504
Hg 0.0000 0.0000 9.4155
Hg 0.0000 0.0000 14.1507
Hg 0.0000 0.0000 18.9158
```



[2]
This entry pairs a crystal structure of Na3InHg4 with its computed powder X-ray diffraction pattern. Radiation: copper Kα. Structure: a structure optimized by DFT (GGA-PBE).
Neutral-atom scattering factors, no anomalous dispersion.

The 10 most intense peaks (5 to 70 degrees two-theta), in order of rising 2θ:
two_theta  I_rel
23.8  902
24.3  430
33.9  1000
34.2  975
34.3  968
42.1  320
48.7  363
54.9  201
60.9  373
61.0  370

Crystal structure
```
16
Lattice="15.5496 0.0000 0.0000 0.0000 5.2862 0.0000 -1.7768 0.0000 4.9781" Properties=species:S:1:pos:R:3 pbc="T T T"
Na 0.0000 0.0000 0.0000
Na 2.5127 2.6431 3.7176
Na 3.4853 0.0000 1.2605
Na 7.7748 2.6431 0.0000
Na 10.2875 0.0000 3.7176
Na 11.2601 2.6431 1.2605
In -0.8884 2.6431 2.4891
In 6.8864 0.0000 2.4891
Hg 0.8313 0.0000 3.1052
Hg 1.7191 2.6431 0.6184
Hg 4.2789 0.0000 4.3598
Hg 5.1667 2.6431 1.8730
Hg 9.4939 0.0000 0.6184
Hg 8.6061 2.6431 3.1052
Hg 12.9415 0.0000 1.8730
Hg 12.0537 2.6431 4.3598
```



[3]
This entry pairs a crystal structure of Na3In5Hg2 with its computed powder X-ray diffraction pattern. Radiation: copper Kα. Structure: a structure optimized by DFT (GGA-PBE).
Neutral-atom scattering factors, no anomalous dispersion.

The 10 most intense peaks (5 to 70 degrees two-theta), in order of rising 2θ:
two_theta  I_rel
18.4  179
18.8  569
19.0  631
21.8  243
22.3  207
32.8  1000
33.2  671
37.3  378
38.2  425
42.7  324

Crystal structure
```
20
Lattice="-4.6631 6.6149 4.8256 4.6631 -6.6149 4.8256 4.6631 6.6149 -4.8256" Properties=species:S:1:pos:R:3 pbc="T T T"
Na 6.8700 1.8132 0.0000
Na 0.0000 0.0000 2.4128
Na 2.2069 4.8017 0.0000
Na 2.4561 1.8132 4.8256
Na 0.0000 0.0000 7.2385
Na -2.2069 4.8017 4.8256
In 4.6631 -3.1937 2.4128
In 3.4990 1.4602 0.0000
In 4.6631 0.0000 2.4128
In 3.4990 -1.4602 4.8256
In 4.6631 3.1937 2.4128
In 0.0000 3.4211 2.4128
In 1.1641 8.0750 0.0000
In 0.0000 6.6149 2.4128
In 1.1641 5.1547 4.8256
In 0.0000 9.8086 2.4128
Hg 0.6339 1.7741 0.0000
Hg 5.2970 4.8408 0.0000
Hg -0.6339 1.7741 4.8256
Hg 4.0292 4.8408 4.8256
```



[4]
This entry pairs a crystal structure of Na4InHg8 with its computed powder X-ray diffraction pattern. Radiation: copper Kα. Structure: a structure optimized by DFT (GGA-PBE).
Neutral-atom scattering factors, no anomalous dispersion.

The 10 most intense peaks (5 to 70 degrees two-theta), in order of rising 2θ:
two_theta  I_rel
5.5  185
11.0  225
20.1  453
21.7  232
31.8  1000
35.1  819
37.8  349
39.2  576
55.6  420
66.5  262

Crystal structure
```
13
Lattice="4.5927 0.0000 0.0000 0.0000 4.7609 0.0000 0.0000 0.0000 16.1000" Properties=species:S:1:pos:R:3 pbc="T T T"
Na 0.0000 0.0000 0.0000
Na 0.0000 2.3805 2.5610
Na 2.2964 0.0000 6.9883
Na 2.2964 2.3805 10.4438
In 0.0000 0.0000 12.0086
Hg 0.0000 0.0000 4.7254
Hg 0.0000 0.0000 9.1351
Hg 0.0000 2.3805 7.1931
Hg 0.0000 2.3805 13.8751
Hg 2.2964 0.0000 2.3826
Hg 2.2964 0.0000 13.9062
Hg 2.2964 2.3805 0.1453
Hg 2.2964 2.3805 4.8277
```



[5]
This entry pairs a crystal structure of Na3In4Hg8 with its computed powder X-ray diffraction pattern. Radiation: copper Kα. Structure: a structure optimized by DFT (GGA-PBE).
Neutral-atom scattering factors, no anomalous dispersion.

The 10 most intense peaks (5 to 70 degrees two-theta), in order of rising 2θ:
two_theta  I_rel
21.0  82
24.3  292
34.7  1000
40.9  44
42.8  88
44.7  20
49.9  175
56.3  116
62.2  350
69.2  30

Crystal structure
```
15
Lattice="7.3135 0.0000 0.0000 0.0000 7.3135 0.0000 0.0000 0.0000 7.3135" Properties=species:S:1:pos:R:3 pbc="T T T"
Na 0.0000 0.0000 3.6567
Na 0.0000 3.6567 0.0000
Na 3.6567 0.0000 0.0000
In 0.0000 0.0000 0.0000
In 0.0000 3.6567 3.6567
In 3.6567 0.0000 3.6567
In 3.6567 3.6567 0.0000
Hg 1.9086 1.9086 1.9086
Hg 1.9086 1.9086 5.4049
Hg 1.9086 5.4049 1.9086
Hg 1.9086 5.4049 5.4049
Hg 5.4049 1.9086 1.9086
Hg 5.4049 1.9086 5.4049
Hg 5.4049 5.4049 1.9086
Hg 5.4049 5.4049 5.4049
```



[6]
This entry pairs a crystal structure of Na3In3Hg8 with its computed powder X-ray diffraction pattern. Radiation: copper Kα. Structure: a structure optimized by DFT (GGA-PBE).
Neutral-atom scattering factors, no anomalous dispersion.

The 10 most intense peaks (5 to 70 degrees two-theta), in order of rising 2θ:
two_theta  I_rel
18.0  472
19.6  804
30.3  459
30.6  429
32.4  667
34.4  606
34.7  570
35.1  745
40.1  1000
50.2  405

Crystal structure
```
14
Lattice="-2.5562 4.9333 7.7451 2.5562 -4.9333 7.7451 2.5562 4.9333 -7.7451" Properties=species:S:1:pos:R:3 pbc="T T T"
Na 0.0000 0.0000 0.0000
Na 0.0000 0.0000 4.1905
Na 0.0000 0.0000 11.2996
In 2.5562 3.2097 0.0000
In 0.0000 4.9333 0.0000
In 0.0000 1.7235 7.7451
Hg 2.5562 -1.4421 2.3714
Hg 2.5562 -1.8466 5.3623
Hg 2.5562 1.4421 2.3714
Hg 0.0000 3.0866 2.3828
Hg 2.5562 1.8466 5.3623
Hg 0.0000 3.4912 5.3737
Hg 0.0000 6.7799 2.3828
Hg 0.0000 6.3753 5.3737
```



[7]
This entry pairs a crystal structure of Na2In4Hg3 with its computed powder X-ray diffraction pattern. Radiation: copper Kα. Structure: a structure optimized by DFT (GGA-PBE).
Neutral-atom scattering factors, no anomalous dispersion.

The 10 most intense peaks (5 to 70 degrees two-theta), in order of rising 2θ:
two_theta  I_rel
17.7  565
21.4  357
31.9  499
34.2  1000
37.6  583
37.8  344
40.7  310
43.5  375
58.8  241
59.0  339

Crystal structure
```
18
Lattice="3.1433 -8.3134 0.0000 3.1433 8.3134 0.0000 0.0000 0.0000 9.5092" Properties=species:S:1:pos:R:3 pbc="T T T"
Na 3.1433 6.6294 8.6836
Na 3.1433 1.6840 3.9290
Na 3.1433 -1.6840 5.5802
Na 3.1433 -6.6294 0.8256
In 3.1433 5.2734 4.8168
In 1.5717 1.0698 7.1319
In 1.5717 -1.0698 2.3773
In 3.1433 3.0400 0.0622
In 3.1433 -3.0400 9.4469
In 4.7150 1.0698 7.1319
In 4.7150 -1.0698 2.3773
In 3.1433 -5.2734 4.6924
Hg 0.0000 0.0000 4.7546
Hg 1.5717 4.0809 7.1319
Hg 1.5717 -4.0809 2.3773
Hg 3.1433 0.0000 0.0000
Hg 4.7150 4.0809 7.1319
Hg 4.7150 -4.0809 2.3773
```



[8]
This entry pairs a crystal structure of NaIn6Hg6 with its computed powder X-ray diffraction pattern. Radiation: copper Kα. Structure: a structure optimized by DFT (GGA-PBE).
Neutral-atom scattering factors, no anomalous dispersion.

The 10 most intense peaks (5 to 70 degrees two-theta), in order of rising 2θ:
two_theta  I_rel
16.4  275
17.6  391
31.1  388
31.3  409
32.8  306
33.2  592
34.3  304
35.9  520
37.8  1000
38.9  220

Crystal structure
```
13
Lattice="3.0587 -5.7577 0.0000 3.0587 5.7577 0.0000 0.0000 0.0000 10.1005" Properties=species:S:1:pos:R:3 pbc="T T T"
Na 0.0000 0.0000 0.0000
In 0.0000 0.0000 3.4759
In 0.0000 0.0000 6.6246
In 3.0587 2.3201 0.0000
In 3.0587 1.5267 5.0503
In 3.0587 -1.5267 5.0503
In 3.0587 -2.3201 0.0000
Hg 1.5293 2.8788 2.7512
Hg 1.5293 2.8788 7.3494
Hg 1.5293 -2.8788 2.7512
Hg 1.5293 -2.8788 7.3494
Hg 3.0587 0.0000 1.9869
Hg 3.0587 0.0000 8.1136
```